Theoretical powder diffractogram of Li2TmGaAu4 for a wavelength of 1.5418 Å, from a crystal structure in Alexandria, relaxed with GGA-PBE.
Peak positions follow from Bragg's law for the DFT cell and can differ from measured ones.

Most intense lines, 2θ from 10° to 80°, in order of rising 2θ:
2θ = 23.68°, intensity 292; 2θ = 27.02°, intensity 647; 2θ = 34.70°, intensity 139; 2θ = 37.73°, intensity 928; 2θ = 39.43°, intensity 1000; 2θ = 44.27°, intensity 162; 2θ = 48.46°, intensity 138; 2θ = 55.72°, intensity 303; 2θ = 70.39°, intensity 304; 2θ = 71.52°, intensity 177

a = 8.392 Å, b = 8.392 Å, c = 8.392 Å
α = 31.60°, β = 31.60°, γ = 31.60°
Positions (direct):
Li: 0.244 0.244 0.244
Li: 0.756 0.756 0.756
Tm: 0.000 0.000 0.000
Ga: 0.500 0.500 0.500
Au: 0.127 0.127 0.127
Au: 0.389 0.389 0.389
Au: 0.611 0.611 0.611
Au: 0.873 0.873 0.873